1.
The following is a simulated powder diffraction line list of Ba3SrMgNb2O9. It was derived from a DFT-relaxed cell (PBE, the Materials Project), using copper Kα.
Intensities are scaled so that the largest is 100.

Structural model:
```
Ba3SrMgNb2O9
1.0
6.174 0.000 0.000
-3.066 5.519 0.000
-0.028 -0.429 7.720
Ba Sr Mg Nb O
3 1 1 2 9
Cartesian
0.000 0.000 0.000
-0.037 2.683 5.256
3.041 0.387 3.079
3.046 1.047 6.772
3.060 3.042 1.874
-0.028 2.892 1.807
3.064 4.739 4.287
-1.609 3.710 3.073
-0.019 0.984 3.007
1.372 0.133 5.369
-0.050 4.502 0.679
1.595 2.095 0.855
1.557 3.719 3.066
4.729 0.160 5.363
3.050 3.197 5.549
4.524 2.073 0.876
```

Top 10 peaks for 10 to 90 degrees two-theta, low angle first:
d [Å], I/Imax
3.185, 35
3.168, 63
3.152, 28
3.085, 100
2.978, 16
2.966, 15
2.182, 30
2.180, 29
1.802, 22
1.380, 13

---

2.
The following is a simulated powder diffraction line list of Ba3SrMgNb2O9. It was derived from a DFT-relaxed cell (PBE, the Materials Project), using copper Kα.
Intensities are scaled so that the largest is 100.

Structural model:
```
Ba3SrMgNb2O9
1.0
5.217 -3.132 0.000
5.217 3.132 0.000
-0.804 0.000 8.053
Ba Sr Mg Nb O
3 1 1 2 9
Cartesian
0.000 0.000 0.000
2.594 0.000 6.098
7.036 0.000 1.955
-0.402 0.000 4.026
4.815 0.000 4.026
3.344 0.000 1.310
6.287 0.000 6.743
2.609 1.566 0.000
1.664 0.000 2.246
4.266 1.326 2.565
5.364 1.326 5.488
2.609 -1.566 0.000
5.217 0.000 0.000
4.266 -1.326 2.565
5.364 -1.326 5.488
7.966 0.000 5.807
```

Top 10 peaks for 10 to 90 degrees two-theta, low angle first:
d [Å], I/Imax
8.053, 23
3.347, 18
3.302, 46
3.132, 50
3.032, 100
2.920, 20
2.451, 17
2.290, 17
2.181, 47
1.514, 16

---

3.
The following is a simulated powder diffraction line list of Ba3SrMgNb2O9. It was derived from a DFT-relaxed cell (PBE, the Materials Project), using copper Kα.
Intensities are scaled so that the largest is 100.

Structural model:
```
Ba3SrMgNb2O9
1.0
5.989 0.000 0.000
-2.995 5.187 0.000
0.000 0.000 9.107
Ba Sr Mg Nb O
3 1 1 2 9
Cartesian
0.000 0.000 0.000
0.000 3.458 4.475
2.995 1.729 1.684
2.995 1.729 7.365
2.995 1.729 4.514
0.000 0.000 3.504
0.000 3.458 0.938
-1.449 2.621 8.890
0.000 1.713 2.240
-1.511 4.330 2.240
1.410 0.814 4.764
1.449 2.621 8.890
0.000 5.131 8.890
1.511 4.330 2.240
4.579 0.814 4.764
2.995 3.558 4.764
```

Top 10 peaks for 10 to 90 degrees two-theta, low angle first:
d [Å], I/Imax
3.422, 57
2.995, 100
2.620, 46
2.254, 36
2.132, 16
1.972, 30
1.801, 17
1.729, 20
1.647, 24
1.497, 19

---

Number 2 is which compound? Ba3SrMgNb2O9

---

Number 3 is which compound? Ba3SrMgNb2O9